No. 1
For ZrP2, the PBE geometry in the Materials Project gives the computed powder XRD pattern in this record (Cu Kα X-rays).
Lines closer than 0.1° are merged.

Most intense lines, 10 to 90 degrees two-theta, in order of falling intensity:
- (1 1 3), d = 2.134 Å, rel. 100.0
- (2 1 1), d = 2.309 Å, rel. 57.1
- (0 1 1), d = 3.275 Å, rel. 45.3
- (1 0 2), d = 3.653 Å, rel. 44.7
- (2 1 0), d = 2.393 Å, rel. 40.9
- (3 0 2), d = 1.948 Å, rel. 31.4
- (2 0 0), d = 3.258 Å, rel. 27.9
- (1 1 1), d = 2.926 Å, rel. 26.3
- (1 0 3), d = 2.680 Å, rel. 22.2
- (1 0 4), d = 2.089 Å, rel. 22.1
- (0 2 0), d = 1.763 Å, rel. 21.6
- (3 2 2), d = 1.307 Å, rel. 16.4

```
data_ZrP2
_chemical_formula_sum 'Zr4 P8'
_symmetry_space_group_name_H-M 'P n m a'
_symmetry_Int_Tables_number 62
_cell_length_a 6.5152
_cell_length_b 3.5266
_cell_length_c 8.8221
_cell_angle_alpha 90.00
_cell_angle_beta 90.00
_cell_angle_gamma 90.00
loop_
_symmetry_equiv_pos_as_xyz
'x,y,z'
'-x,-y,-z'
'-x+1/2,-y,z+1/2'
'x+1/2,y,-z+1/2'
'x+1/2,-y+1/2,-z+1/2'
'-x+1/2,y+1/2,z+1/2'
'-x,y+1/2,-z'
'x,-y+1/2,z'
loop_
_atom_site_label
_atom_site_type_symbol
_atom_site_fract_x
_atom_site_fract_y
_atom_site_fract_z
_atom_site_occupancy
Zr1 Zr 0.2204 0.2500 0.1631 1
P1 P 0.0965 0.2500 0.8565 1
P2 P 0.1103 0.2500 0.4608 1
```



No. 2
For Ga2CuAgTe2Se2, the PBE geometry in the Materials Project gives the computed powder XRD pattern in this record (Cu Kα X-rays).
Lines closer than 0.1° are merged.

Most intense lines, 10 to 90 degrees two-theta, in order of falling intensity:
- (2 2 -1), d = 3.466 Å, rel. 100.0
- (2 4 0), d = 2.116 Å, rel. 24.0
- (2 4 -2), d = 2.107 Å, rel. 23.9
- (0 6 1), d = 1.783 Å, rel. 13.9
- (4 0 -2), d = 2.140 Å, rel. 12.9
- (0 0 2), d = 2.150 Å, rel. 12.8
- (2 2 1), d = 1.832 Å, rel. 8.0
- (2 2 -3), d = 1.820 Å, rel. 7.9
- (4 2 -1), d = 1.828 Å, rel. 7.5
- (4 2 -3), d = 1.816 Å, rel. 7.4
- (4 0 0), d = 1.524 Å, rel. 4.1
- (4 0 -4), d = 1.510 Å, rel. 4.0

```
data_Ga2CuAgTe2Se2
_chemical_formula_sum 'Ga4 Cu2 Ag2 Te4 Se4'
_symmetry_space_group_name_H-M 'C 1 2 1'
_symmetry_Int_Tables_number 5
_cell_length_a 8.5607
_cell_length_b 11.7633
_cell_length_c 6.0397
_cell_angle_alpha 90.00
_cell_angle_beta 134.61
_cell_angle_gamma 90.00
loop_
_symmetry_equiv_pos_as_xyz
'x,y,z'
'-x,y,-z'
'x+1/2,y+1/2,z'
'-x+1/2,y+1/2,-z'
loop_
_atom_site_label
_atom_site_type_symbol
_atom_site_fract_x
_atom_site_fract_y
_atom_site_fract_z
_atom_site_occupancy
Ga1 Ga 0.0000 0.0000 0.0000 1
Ga2 Ga 0.0000 0.2322 0.5000 1
Cu1 Cu 0.0000 0.4985 0.0000 1
Ag1 Ag 0.0000 0.7327 0.5000 1
Te1 Te 0.2372 0.3727 0.4893 1
Se1 Se 0.2367 0.1102 0.9715 1
```



No. 3
For SIO3F, the PBE geometry in the Materials Project gives the computed powder XRD pattern in this record (Cu Kα X-rays).
Lines closer than 0.1° are merged.

Most intense lines, 10 to 90 degrees two-theta, in order of falling intensity:
- (1 2 0), d = 4.221 Å, rel. 100.0
- (1 1 3), d = 3.434 Å, rel. 98.1
- (0 3 2), d = 3.562 Å, rel. 96.3
- (1 1 1), d = 4.864 Å, rel. 92.3
- (0 2 1), d = 5.690 Å, rel. 87.4
- (1 2 1), d = 4.034 Å, rel. 69.1
- (1 1 2), d = 4.144 Å, rel. 66.2
- (2 1 2), d = 2.582 Å, rel. 61.5
- (1 3 2), d = 3.024 Å, rel. 56.2
- (0 0 2), d = 6.856 Å, rel. 54.2
- (0 3 4), d = 2.648 Å, rel. 46.2
- (1 2 2), d = 3.594 Å, rel. 40.8

```
data_SIO3F
_chemical_formula_sum 'S8 I8 O24 F8'
_symmetry_space_group_name_H-M 'P 21 21 21'
_symmetry_Int_Tables_number 19
_cell_length_a 5.7204
_cell_length_b 12.5068
_cell_length_c 13.7127
_cell_angle_alpha 90.00
_cell_angle_beta 90.00
_cell_angle_gamma 90.00
loop_
_symmetry_equiv_pos_as_xyz
'x,y,z'
'-x+1/2,-y,z+1/2'
'x+1/2,-y+1/2,-z'
'-x,y+1/2,-z+1/2'
loop_
_atom_site_label
_atom_site_type_symbol
_atom_site_fract_x
_atom_site_fract_y
_atom_site_fract_z
_atom_site_occupancy
S1 S 0.0408 0.1776 0.1691 1
S2 S 0.1591 0.6002 0.9909 1
I1 I 0.0446 0.0483 0.8423 1
I2 I 0.1979 0.1759 0.6969 1
O1 O 0.0133 0.2824 0.2298 1
O2 O 0.0296 0.6694 0.0549 1
O3 O 0.0953 0.5907 0.2941 1
O4 O 0.0991 0.4242 0.5158 1
O5 O 0.1431 0.6278 0.8850 1
O6 O 0.2164 0.8335 0.6469 1
F1 F 0.0281 0.4874 0.9962 1
F2 F 0.0840 0.7137 0.4299 1
```



No. 4
For Nb5VFe2Se20, the PBE geometry in the Materials Project gives the computed powder XRD pattern in this record (Cu Kα X-rays).
Lines closer than 0.1° are merged.

Most intense lines, 10 to 90 degrees two-theta, in order of falling intensity:
- (2 1 0), d = 2.818 Å, rel. 100.0
- (1 0 7), d = 2.543 Å, rel. 32.8
- (1 1 -7), d = 2.111 Å, rel. 32.7
- (1 0 -3), d = 5.388 Å, rel. 30.9
- (1 0 -1), d = 8.627 Å, rel. 29.2
- (3 1 -3), d = 2.229 Å, rel. 26.1
- (0 2 0), d = 1.764 Å, rel. 23.9
- (1 1 7), d = 2.063 Å, rel. 18.1
- (3 1 3), d = 2.157 Å, rel. 14.5
- (1 2 7), d = 1.449 Å, rel. 11.3
- (1 0 3), d = 5.065 Å, rel. 10.4
- (3 1 -1), d = 2.335 Å, rel. 10.1

```
data_Nb5VFe2Se20
_chemical_formula_sum 'Nb5 V1 Fe2 Se20'
_symmetry_space_group_name_H-M 'P 1 m 1'
_symmetry_Int_Tables_number 6
_cell_length_a 9.3956
_cell_length_b 3.5270
_cell_length_c 18.8912
_cell_angle_alpha 90.00
_cell_angle_beta 93.83
_cell_angle_gamma 90.00
loop_
_symmetry_equiv_pos_as_xyz
'x,y,z'
'x,-y,z'
loop_
_atom_site_label
_atom_site_type_symbol
_atom_site_fract_x
_atom_site_fract_y
_atom_site_fract_z
_atom_site_occupancy
Nb1 Nb 0.0000 0.0000 0.0000 1
Nb2 Nb 0.0076 0.0000 0.2771 1
Nb3 Nb 0.3182 0.5000 0.1407 1
Nb4 Nb 0.5076 0.0000 0.7765 1
Nb5 Nb 0.8168 0.5000 0.6399 1
V1 V 0.5055 0.0000 0.5017 1
Fe1 Fe 0.3093 0.5000 0.4090 1
Fe2 Fe 0.8125 0.5000 0.9086 1
Se1 Se 0.1069 0.0000 0.1421 1
Se2 Se 0.1289 0.0000 0.4128 1
Se3 Se 0.2168 0.5000 0.0017 1
Se4 Se 0.2202 0.5000 0.2810 1
Se5 Se 0.3291 0.5000 0.7110 1
Se6 Se 0.3353 0.5000 0.8370 1
Se7 Se 0.3357 0.5000 0.5346 1
Se8 Se 0.4732 0.0000 0.3778 1
Se9 Se 0.4902 0.0000 0.0795 1
Se10 Se 0.4957 0.0000 0.2053 1
Se11 Se 0.6050 0.0000 0.6398 1
Se12 Se 0.6294 0.0000 0.9129 1
Se13 Se 0.7079 0.5000 0.5025 1
Se14 Se 0.7194 0.5000 0.7805 1
Se15 Se 0.8219 0.5000 0.0373 1
Se16 Se 0.8288 0.5000 0.2115 1
Se17 Se 0.8345 0.5000 0.3373 1
Se18 Se 0.9714 0.0000 0.8709 1
Se19 Se 0.9883 0.0000 0.5785 1
Se20 Se 0.9954 0.0000 0.7045 1
```